Record 1
Diffraction record for TbPm5Nd2Sc. The powder X-ray diffraction pattern is theoretical, not measured: it uses a crystal structure in Alexandria, relaxed with PBE and Cu Kα X-rays.
Lines closer than 0.1° are merged.

Cell and atoms:
```
18
Lattice="2.7111 -11.0380 0.0000 2.7111 11.0380 0.0000 0.0000 0.0000 10.1978" Properties=species:S:1:pos:R:3 pbc="T T T"
Tb 2.7111 8.7774 7.6483
Tb 2.7111 -8.7774 2.5494
Pm 0.0000 0.0000 0.0000
Pm 0.0000 0.0000 5.0989
Pm 2.7111 8.2268 2.5494
Pm 2.7111 6.1283 5.7349
Pm 2.7111 6.1283 9.5618
Pm 2.7111 0.0125 7.6483
Pm 2.7111 -0.0125 2.5494
Pm 2.7111 -6.1283 0.6360
Pm 2.7111 -6.1283 4.4629
Pm 2.7111 -8.2268 7.6483
Nd 2.7111 2.5695 5.1318
Nd 2.7111 2.5695 10.1648
Nd 2.7111 -2.5695 0.0329
Nd 2.7111 -2.5695 5.0660
Sc 2.7111 4.7051 2.5494
Sc 2.7111 -4.7051 7.6483
```

Main lines, by intensity (2θ from 15° to 90°):
| 2θ/deg | I_rel |
| --- | --- |
| 31.47 | 100.0 |
| 26.89 | 36.7 |
| 33.04 | 33.2 |
| 58.02 | 19.4 |
| 35.20 | 16.4 |
| 32.45 | 15.2 |
| 59.89 | 13.3 |
| 49.05 | 12.6 |
| 31.32 | 11.3 |
| 46.98 | 10.8 |
| 60.05 | 9.1 |
| 58.25 | 8.6 |

---

Record 2
Diffraction record for PmNd3Sc2Te6. The powder X-ray diffraction pattern is theoretical, not measured: it uses a crystal structure in Alexandria, relaxed with PBE and Cu Kα X-rays.
Lines closer than 0.1° are merged.

Cell and atoms:
```
12
Lattice="9.5876 -2.1747 0.0000 9.5876 2.1747 0.0000 -2.1293 0.0000 8.5864" Properties=species:S:1:pos:R:3 pbc="T T T"
Pm 0.0000 0.0000 0.0000
Nd -1.0647 0.0000 4.2932
Nd 6.1814 0.0000 1.4700
Nd 10.8644 0.0000 7.1164
Sc 4.9912 0.0000 5.7580
Sc 12.0546 0.0000 2.8284
Te 3.0487 0.0000 0.8650
Te 2.1142 0.0000 4.8817
Te 7.8088 0.0000 6.4104
Te 9.2371 0.0000 2.1760
Te 14.9317 0.0000 3.7046
Te 13.9971 0.0000 7.7214
```

Main lines, by intensity (2θ from 15° to 90°):
| 2θ/deg | I_rel |
| --- | --- |
| 28.79 | 100.0 |
| 41.32 | 24.1 |
| 41.00 | 24.0 |
| 40.80 | 13.0 |
| 51.31 | 12.8 |
| 41.53 | 12.6 |
| 59.62 | 11.8 |
| 67.75 | 10.0 |
| 67.31 | 9.6 |
| 50.96 | 6.6 |
| 50.43 | 6.2 |
| 68.05 | 5.7 |

---

Record 3
Diffraction record for Pm2Nd4TmSc. The powder X-ray diffraction pattern is theoretical, not measured: it uses a crystal structure in Alexandria, relaxed with PBE and Cu Kα X-rays.
Lines closer than 0.1° are merged.

Cell and atoms:
```
8
Lattice="5.0985 0.0000 0.0000 0.0000 5.1264 0.0000 -0.0109 0.0000 10.0610" Properties=species:S:1:pos:R:3 pbc="T T T"
Pm 0.0000 0.0000 0.0000
Pm 2.5438 2.5632 5.0305
Nd -0.0018 2.5632 2.5483
Nd 5.0893 2.5632 7.5127
Nd 2.5384 0.0000 7.5030
Nd 2.5491 0.0000 2.5580
Tm 2.5492 2.5632 0.0000
Sc -0.0055 0.0000 5.0305
```

Main lines, by intensity (2θ from 15° to 90°):
| 2θ/deg | I_rel |
| --- | --- |
| 30.45 | 100.0 |
| 35.01 | 17.3 |
| 35.21 | 17.0 |
| 35.70 | 16.3 |
| 59.98 | 14.5 |
| 60.25 | 14.3 |
| 60.90 | 13.7 |
| 63.37 | 12.2 |
| 50.49 | 12.2 |
| 50.86 | 11.9 |
| 51.01 | 11.8 |
| 82.27 | 5.9 |

---

Record 4
Diffraction record for PmNd2TmSc. The powder X-ray diffraction pattern is theoretical, not measured: it uses a crystal structure in Alexandria, relaxed with PBE and Cu Kα X-rays.
Lines closer than 0.1° are merged.

Cell and atoms:
```
10
Lattice="3.2323 -7.9678 0.0000 3.2323 7.9678 0.0000 0.0000 0.0000 6.4681" Properties=species:S:1:pos:R:3 pbc="T T T"
Pm 3.2323 5.3717 4.8510
Pm 3.2323 -5.3717 1.6170
Nd 1.6266 0.0000 0.0000
Nd 1.6266 0.0000 3.2340
Nd 4.8381 0.0000 0.0000
Nd 4.8381 0.0000 3.2340
Tm 3.2323 3.9572 1.6170
Tm 3.2323 -3.9572 4.8510
Sc 3.2323 2.4620 4.8510
Sc 3.2323 -2.4620 1.6170
```

Main lines, by intensity (2θ from 15° to 90°):
| 2θ/deg | I_rel |
| --- | --- |
| 29.82 | 100.0 |
| 39.41 | 33.9 |
| 34.30 | 28.5 |
| 65.62 | 21.0 |
| 22.32 | 20.0 |
| 25.71 | 17.7 |
| 53.22 | 16.2 |
| 65.28 | 13.0 |
| 45.76 | 12.2 |
| 35.77 | 12.1 |
| 56.96 | 11.5 |
| 44.46 | 10.5 |

---

Record 5
Diffraction record for Pm2NdY6Sc3. The powder X-ray diffraction pattern is theoretical, not measured: it uses a crystal structure in Alexandria, relaxed with PBE and Cu Kα X-rays.
Lines closer than 0.1° are merged.

Cell and atoms:
```
12
Lattice="3.0612 -5.3017 0.0000 3.0612 5.3017 0.0000 -2.0408 0.0000 11.4005" Properties=species:S:1:pos:R:3 pbc="T T T"
Pm 3.0612 3.5345 0.0000
Pm 3.0612 -3.5345 0.0000
Nd 3.0612 0.0000 0.0000
Y -0.0014 1.7678 8.4170
Y 1.0209 0.0000 2.9836
Y -0.0014 -1.7678 8.4170
Y 4.0830 1.7678 2.9834
Y 3.0607 0.0000 8.4169
Y 4.0830 -1.7678 2.9834
Sc -1.0204 0.0000 5.7002
Sc 2.0408 1.7680 5.7002
Sc 2.0408 -1.7680 5.7002
```

Main lines, by intensity (2θ from 15° to 90°):
| 2θ/deg | I_rel |
| --- | --- |
| 31.03 | 100.0 |
| 36.09 | 65.2 |
| 31.39 | 31.1 |
| 61.76 | 25.6 |
| 51.72 | 23.1 |
| 52.19 | 20.9 |
| 61.55 | 13.4 |
| 62.18 | 13.2 |
| 64.69 | 11.3 |
| 84.50 | 10.8 |
| 32.03 | 10.0 |
| 87.31 | 10.0 |

---

Record 6
Diffraction record for Pm6NdSe8. The powder X-ray diffraction pattern is theoretical, not measured: it uses a crystal structure in Alexandria, relaxed with PBE and Cu Kα X-rays.
Lines closer than 0.1° are merged.

Cell and atoms:
```
15
Lattice="0.0000 5.9188 5.9188 5.9188 0.0000 5.9188 5.9188 5.9188 0.0000" Properties=species:S:1:pos:R:3 pbc="T T T"
Pm 2.9594 2.9594 0.0000
Pm 2.9594 0.0000 2.9594
Pm 5.9188 2.9594 2.9594
Pm 0.0000 2.9594 2.9594
Pm 2.9594 5.9188 2.9594
Pm 2.9594 2.9594 5.9188
Nd 0.0000 0.0000 0.0000
Se 2.9594 2.9594 2.9594
Se 5.9188 5.9188 3.0116
Se 5.9188 3.0116 5.9188
Se 8.8261 5.9188 5.9188
Se 3.0116 5.9188 5.9188
Se 5.9188 8.8261 5.9188
Se 5.9188 5.9188 8.8261
Se 8.8783 8.8783 8.8783
```

Main lines, by intensity (2θ from 15° to 90°):
| 2θ/deg | I_rel |
| --- | --- |
| 30.20 | 100.0 |
| 43.23 | 74.4 |
| 71.25 | 33.4 |
| 53.64 | 26.2 |
| 79.30 | 24.9 |
| 62.80 | 12.2 |
| 26.08 | 10.3 |
| 51.19 | 5.3 |
| 24.95 | 5.2 |
| 21.23 | 3.9 |
| 32.98 | 3.2 |
| 33.86 | 2.4 |

---

Record 7
Diffraction record for Pm3Nd2Se8. The powder X-ray diffraction pattern is theoretical, not measured: it uses a crystal structure in Alexandria, relaxed with PBE and Cu Kα X-rays.
Lines closer than 0.1° are merged.

Cell and atoms:
```
13
Lattice="7.3335 -4.2546 0.0000 7.3335 4.2546 0.0000 -2.4473 0.0000 6.7584" Properties=species:S:1:pos:R:3 pbc="T T T"
Pm 0.0000 0.0000 0.0000
Pm 6.1098 2.0211 3.3792
Pm 6.1098 -2.0211 3.3792
Nd 1.7654 0.0000 5.6890
Nd 10.4543 0.0000 1.0695
Se 5.3127 2.2500 0.5761
Se 0.6831 0.0000 2.8867
Se 6.9069 2.2500 6.1823
Se 4.1114 0.0000 3.9342
Se 8.1083 0.0000 2.8242
Se 5.3127 -2.2500 0.5761
Se 11.5366 0.0000 3.8717
Se 6.9069 -2.2500 6.1823
```

Main lines, by intensity (2θ from 15° to 90°):
| 2θ/deg | I_rel |
| --- | --- |
| 32.54 | 100.0 |
| 39.32 | 68.8 |
| 43.35 | 68.6 |
| 25.75 | 55.8 |
| 19.50 | 55.2 |
| 33.26 | 45.6 |
| 21.97 | 43.0 |
| 42.49 | 35.2 |
| 39.18 | 33.2 |
| 26.37 | 31.0 |
| 24.59 | 29.6 |
| 71.44 | 27.7 |

---

Record 8
Diffraction record for PmNd5Se6. The powder X-ray diffraction pattern is theoretical, not measured: it uses a crystal structure in Alexandria, relaxed with PBE and Cu Kα X-rays.
Lines closer than 0.1° are merged.

Cell and atoms:
```
12
Lattice="3.6578 -6.3538 0.0000 3.6578 6.3538 0.0000 -2.4559 0.0000 6.8813" Properties=species:S:1:pos:R:3 pbc="T T T"
Pm 0.0000 0.0000 0.0000
Nd 2.4299 4.2234 3.4407
Nd 3.6578 2.1217 0.0000
Nd 2.4299 0.0000 3.4407
Nd 3.6578 -2.1217 0.0000
Nd 2.4299 -4.2234 3.4407
Se 1.2088 2.1058 1.7122
Se -0.0255 0.0000 5.1650
Se 1.2088 -2.1058 1.7122
Se 3.6509 2.1058 5.1692
Se 4.8852 0.0000 1.7163
Se 3.6509 -2.1058 5.1692
```

Main lines, by intensity (2θ from 15° to 90°):
| 2θ/deg | I_rel |
| --- | --- |
| 29.91 | 100.0 |
| 42.76 | 37.5 |
| 42.83 | 24.9 |
| 70.49 | 22.5 |
| 53.00 | 13.3 |
| 53.21 | 13.1 |
| 78.27 | 12.6 |
| 42.94 | 12.3 |
| 62.15 | 12.3 |
| 25.81 | 12.0 |
| 78.59 | 10.4 |
| 70.32 | 5.7 |